Diffraction record for Li4Mn3Fe2Sn3O16. The powder XRD pattern is calculated, not measured: it uses a structure optimized by DFT (PBE+U) and Cu Kα.
Peak positions follow from Bragg's law for the DFT cell and can differ from measured ones.

Cell and atoms:
a b c (Å): 6.104 6.126 9.642
angles (deg): 89.35 89.00 60.36
Atoms (fractional coordinates):
Li 0.000 0.000 0.000
Li 0.007 0.003 0.508
Li 0.314 0.322 0.616
Li 0.650 0.656 0.106
Mn 0.157 0.159 0.281
Mn 0.331 0.820 0.788
Mn 0.814 0.330 0.785
Fe 0.323 0.317 0.005
Fe 0.645 0.652 0.511
Sn 0.157 0.648 0.289
Sn 0.648 0.158 0.290
Sn 0.822 0.818 0.788
O 0.014 0.978 0.692
O 0.028 0.461 0.159
O 0.160 0.665 0.903
O 0.171 0.142 0.897
O 0.317 0.834 0.399
O 0.326 0.330 0.410
O 0.460 0.029 0.161
O 0.471 0.468 0.155
O 0.492 0.526 0.666
O 0.499 0.948 0.662
O 0.632 0.670 0.900
O 0.669 0.160 0.900
O 0.825 0.827 0.414
O 0.832 0.317 0.401
O 0.942 0.499 0.663
O 0.981 0.980 0.183

Principal peaks in the range 10° ≤ 2θ ≤ 90°, in order of falling intensity:
18.41°, I 100, hkl 0 0 2
19.03°, I 61, hkl 0 1 -1
19.26°, I 50, hkl 1 1 -1
35.04°, I 45, hkl 2 2 1
34.94°, I 44, hkl 2 0 1
34.51°, I 29, hkl 1 2 2
43.98°, I 27, hkl 2 2 3
24.81°, I 26, hkl 1 1 2
38.56°, I 21, hkl 2 2 2
58.82°, I 19, hkl 2 0 5